For Pm6NdIn2, a DFT-relaxed cell (GGA-PBE, Alexandria) gives the calculated powder XRD pattern in this record (Cu Kα, 1.54184 Å).
Peak positions follow from Bragg's law for the DFT cell and can differ from measured ones.

Most intense lines, 10 to 90 degrees two-theta, in order of rising 2θ:
d 3.138, rel. 100
d 2.889, rel. 95
d 2.794, rel. 42
d 2.464, rel. 43
d 2.392, rel. 27
d 2.316, rel. 30
d 2.050, rel. 12
d 1.783, rel. 23
d 1.687, rel. 27
d 1.592, rel. 38
d 1.408, rel. 11
d 1.142, rel. 13

Cell and atoms:
Cell lengths 4.631, 8.535, 8.535 Å; angles 120.00, 90.00, 90.00 degrees
Atoms (fractional coordinates):
Pm1 0.000 0.000 0.000
Pm2 0.000 0.464 0.732
Pm3 0.000 0.732 0.464
Pm4 0.500 0.143 0.732
Pm5 0.500 0.321 0.321
Pm6 0.500 0.732 0.143
Nd1 0.500 0.733 0.733
In1 0.000 0.065 0.399
In2 0.000 0.399 0.065


For Pm6NdIn2, a DFT-relaxed cell (GGA-PBE, Alexandria) gives the calculated powder XRD pattern in this record (Cu Kα, 1.54184 Å).
Peak positions follow from Bragg's law for the DFT cell and can differ from measured ones.

Most intense lines, 10 to 90 degrees two-theta, in order of rising 2θ:
d 2.901, rel. 50
d 2.884, rel. 48
d 2.825, rel. 97
d 2.797, rel. 100
d 2.067, rel. 13
d 2.024, rel. 16
d 1.934, rel. 20
d 1.666, rel. 14
d 1.649, rel. 16
d 1.642, rel. 14
d 1.610, rel. 20
d 1.606, rel. 19

Cell and atoms:
Cell lengths 6.816, 6.816, 12.146 Å; angles 107.60, 107.60, 32.97 degrees
Atoms (fractional coordinates):
Pm1 0.012 0.012 0.339
Pm2 0.309 0.309 0.415
Pm3 0.313 0.313 0.125
Pm4 0.687 0.687 0.875
Pm5 0.691 0.691 0.585
Pm6 0.988 0.988 0.661
Nd1 0.000 0.000 0.000
In1 0.357 0.357 0.790
In2 0.643 0.643 0.210


For PmNd7In2, a DFT-relaxed cell (GGA-PBE, Alexandria) gives the calculated powder XRD pattern in this record (Cu Kα, 1.54184 Å).
Peak positions follow from Bragg's law for the DFT cell and can differ from measured ones.

Most intense lines, 10 to 90 degrees two-theta, in order of rising 2θ:
d 5.510, rel. 50
d 4.682, rel. 24
d 4.549, rel. 31
d 3.568, rel. 25
d 3.228, rel. 60
d 3.034, rel. 78
d 2.755, rel. 65
d 2.677, rel. 82
d 2.646, rel. 100
d 2.040, rel. 51
d 1.549, rel. 28
d 1.483, rel. 23

Cell and atoms:
Cell lengths 9.241, 9.241, 5.510 Å; angles 90.00, 90.00, 119.11 degrees
Atoms (fractional coordinates):
Pm1 0.000 0.000 0.000
Nd1 0.060 0.303 0.500
Nd2 0.225 0.775 0.000
Nd3 0.303 0.060 0.500
Nd4 0.500 0.500 0.500
Nd5 0.697 0.940 0.500
Nd6 0.775 0.225 0.000
Nd7 0.940 0.697 0.500
In1 0.304 0.696 0.500
In2 0.696 0.304 0.500


For PrNd3In2, a DFT-relaxed cell (GGA-PBE, Alexandria) gives the calculated powder XRD pattern in this record (Cu Kα, 1.54184 Å).
Peak positions follow from Bragg's law for the DFT cell and can differ from measured ones.

Most intense lines, 10 to 90 degrees two-theta, in order of rising 2θ:
d 3.262, rel. 16
d 2.904, rel. 39
d 2.876, rel. 100
d 2.861, rel. 33
d 2.793, rel. 84
d 2.683, rel. 56
d 2.425, rel. 19
d 1.958, rel. 27
d 1.799, rel. 15
d 1.630, rel. 21
d 1.584, rel. 22
d 1.570, rel. 15

Cell and atoms:
Cell lengths 5.367, 10.219, 6.905 Å; angles 90.00, 90.00, 90.00 degrees
Atoms (fractional coordinates):
Pr1 0.000 0.041 0.000
Pr2 0.000 0.959 0.500
Nd1 0.000 0.322 0.653
Nd2 0.000 0.678 0.153
Nd3 0.500 0.179 0.272
Nd4 0.500 0.459 0.926
Nd5 0.500 0.541 0.426
Nd6 0.500 0.821 0.772
In1 0.000 0.358 0.175
In2 0.000 0.642 0.675
In3 0.500 0.144 0.750
In4 0.500 0.856 0.250


For Pr2Nd4In, a DFT-relaxed cell (GGA-PBE, Alexandria) gives the calculated powder XRD pattern in this record (Cu Kα, 1.54184 Å).
Peak positions follow from Bragg's law for the DFT cell and can differ from measured ones.

Most intense lines, 10 to 90 degrees two-theta, in order of rising 2θ:
d 3.525, rel. 16
d 3.191, rel. 17
d 3.146, rel. 55
d 3.051, rel. 100
d 2.828, rel. 28
d 2.240, rel. 13
d 2.205, rel. 16
d 2.190, rel. 40
d 2.103, rel. 24
d 1.806, rel. 14
d 1.798, rel. 11
d 1.762, rel. 13

Cell and atoms:
Cell lengths 7.116, 7.116, 6.101 Å; angles 90.00, 90.00, 127.53 degrees
Atoms (fractional coordinates):
Pr1 0.114 0.886 0.000
Pr2 0.886 0.114 0.000
Nd1 0.173 0.827 0.500
Nd2 0.366 0.634 0.000
Nd3 0.634 0.366 0.000
Nd4 0.827 0.173 0.500
In1 0.500 0.500 0.500


For Pr5Nd2In4, a DFT-relaxed cell (GGA-PBE, Alexandria) gives the calculated powder XRD pattern in this record (Cu Kα, 1.54184 Å).
Peak positions follow from Bragg's law for the DFT cell and can differ from measured ones.

Most intense lines, 10 to 90 degrees two-theta, in order of rising 2θ:
d 2.950, rel. 29
d 2.918, rel. 19
d 2.850, rel. 41
d 2.760, rel. 100
d 2.703, rel. 43
d 2.671, rel. 21
d 2.660, rel. 22
d 2.521, rel. 39
d 2.490, rel. 17
d 2.260, rel. 17
d 1.765, rel. 18
d 1.605, rel. 24

Cell and atoms:
Cell lengths 8.889, 3.530, 10.871 Å; angles 90.00, 95.56, 90.00 degrees
Atoms (fractional coordinates):
Pr1 0.000 0.000 0.000
Pr2 0.042 0.000 0.335
Pr3 0.343 0.000 0.859
Pr4 0.657 0.000 0.141
Pr5 0.958 0.000 0.665
Nd1 0.418 0.000 0.363
Nd2 0.582 0.000 0.637
In1 0.252 0.500 0.579
In2 0.299 0.500 0.121
In3 0.701 0.500 0.879
In4 0.748 0.500 0.421


For Pr2Nd9In, a DFT-relaxed cell (GGA-PBE, Alexandria) gives the calculated powder XRD pattern in this record (Cu Kα, 1.54184 Å).
Peak positions follow from Bragg's law for the DFT cell and can differ from measured ones.

Most intense lines, 10 to 90 degrees two-theta, in order of rising 2θ:
d 2.969, rel. 100
d 2.610, rel. 17
d 2.552, rel. 33
d 1.825, rel. 24
d 1.805, rel. 12
d 1.568, rel. 14
d 1.542, rel. 28
d 1.484, rel. 12
d 1.183, rel. 11
d 1.172, rel. 6
d 1.146, rel. 5
d 1.141, rel. 5

Cell and atoms:
Cell lengths 5.104, 5.104, 15.663 Å; angles 90.00, 90.00, 90.00 degrees
Atoms (fractional coordinates):
Pr1 0.000 0.000 0.170
Pr2 0.000 0.000 0.830
Nd1 0.000 0.500 0.000
Nd2 0.000 0.500 0.341
Nd3 0.000 0.500 0.659
Nd4 0.500 0.000 0.000
Nd5 0.500 0.000 0.341
Nd6 0.500 0.000 0.659
Nd7 0.500 0.500 0.171
Nd8 0.500 0.500 0.500
Nd9 0.500 0.500 0.829
In1 0.000 0.000 0.500


For Pr2Nd7In, a DFT-relaxed cell (GGA-PBE, Alexandria) gives the calculated powder XRD pattern in this record (Cu Kα, 1.54184 Å).
Peak positions follow from Bragg's law for the DFT cell and can differ from measured ones.

Most intense lines, 10 to 90 degrees two-theta, in order of rising 2θ:
d 7.780, rel. 16
d 5.478, rel. 46
d 4.404, rel. 18
d 3.308, rel. 19
d 3.020, rel. 45
d 2.739, rel. 46
d 2.702, rel. 100
d 2.557, rel. 56
d 2.029, rel. 29
d 1.574, rel. 19
d 1.502, rel. 22
d 1.497, rel. 22

Cell and atoms:
Cell lengths 9.396, 9.396, 5.478 Å; angles 90.00, 90.00, 124.10 degrees
Atoms (fractional coordinates):
Pr1 0.208 0.792 0.000
Pr2 0.792 0.208 0.000
Nd1 0.000 0.000 0.000
Nd2 0.219 0.428 0.000
Nd3 0.289 0.711 0.500
Nd4 0.428 0.219 0.000
Nd5 0.572 0.781 0.000
Nd6 0.711 0.289 0.500
Nd7 0.781 0.572 0.000
In1 0.500 0.500 0.500


For Pr7Nd4In, a DFT-relaxed cell (GGA-PBE, Alexandria) gives the calculated powder XRD pattern in this record (Cu Kα, 1.54184 Å).
Peak positions follow from Bragg's law for the DFT cell and can differ from measured ones.

Most intense lines, 10 to 90 degrees two-theta, in order of rising 2θ:
d 4.303, rel. 14
d 3.518, rel. 15
d 3.099, rel. 69
d 3.051, rel. 100
d 3.016, rel. 57
d 2.855, rel. 99
d 2.821, rel. 18
d 2.788, rel. 24
d 2.721, rel. 53
d 2.145, rel. 44
d 1.721, rel. 24
d 1.691, rel. 31

Cell and atoms:
Cell lengths 6.907, 6.907, 12.998 Å; angles 113.75, 113.75, 52.43 degrees
Atoms (fractional coordinates):
Pr1 0.000 0.000 0.000
Pr2 0.133 0.133 0.481
Pr3 0.299 0.299 0.081
Pr4 0.403 0.403 0.726
Pr5 0.597 0.597 0.274
Pr6 0.701 0.701 0.919
Pr7 0.867 0.867 0.519
Nd1 0.137 0.137 0.772
Nd2 0.341 0.341 0.368
Nd3 0.659 0.659 0.632
Nd4 0.863 0.863 0.228
In1 0.500 0.500 0.000


For PrNd8In6, a DFT-relaxed cell (GGA-PBE, Alexandria) gives the calculated powder XRD pattern in this record (Cu Kα, 1.54184 Å).
Peak positions follow from Bragg's law for the DFT cell and can differ from measured ones.

Most intense lines, 10 to 90 degrees two-theta, in order of rising 2θ:
d 4.650, rel. 12
d 3.811, rel. 30
d 2.705, rel. 100
d 2.684, rel. 93
d 1.905, rel. 36
d 1.565, rel. 17
d 1.554, rel. 37
d 1.550, rel. 17
d 1.352, rel. 10
d 1.342, rel. 11
d 1.208, rel. 14
d 1.202, rel. 16

Cell and atoms:
Cell lengths 8.547, 8.547, 8.547 Å; angles 65.92, 65.92, 65.92 degrees
Atoms (fractional coordinates):
Pr1 0.000 0.000 0.000
Nd1 0.116 0.783 0.449
Nd2 0.217 0.551 0.884
Nd3 0.333 0.333 0.333
Nd4 0.449 0.116 0.783
Nd5 0.551 0.884 0.217
Nd6 0.667 0.667 0.667
Nd7 0.783 0.449 0.116
Nd8 0.884 0.217 0.551
In1 0.055 0.389 0.720
In2 0.280 0.945 0.611
In3 0.389 0.720 0.055
In4 0.611 0.280 0.945
In5 0.720 0.055 0.389
In6 0.945 0.611 0.280


For Pr2Nd4In, a DFT-relaxed cell (GGA-PBE, Alexandria) gives the calculated powder XRD pattern in this record (Cu Kα, 1.54184 Å).
Peak positions follow from Bragg's law for the DFT cell and can differ from measured ones.

Most intense lines, 10 to 90 degrees two-theta, in order of rising 2θ:
d 3.736, rel. 11
d 3.295, rel. 100
d 2.802, rel. 27
d 2.534, rel. 44
d 2.236, rel. 64
d 1.879, rel. 15
d 1.724, rel. 16
d 1.650, rel. 9
d 1.527, rel. 20
d 1.483, rel. 12
d 1.468, rel. 15
d 1.425, rel. 15

Cell and atoms:
Cell lengths 4.876, 4.876, 11.208 Å; angles 90.00, 90.00, 90.00 degrees
Atoms (fractional coordinates):
Pr1 0.000 0.500 0.000
Pr2 0.500 0.000 0.000
Nd1 0.243 0.243 0.728
Nd2 0.243 0.757 0.272
Nd3 0.757 0.243 0.272
Nd4 0.757 0.757 0.728
In1 0.500 0.500 0.500


For Pr3Nd3In, a DFT-relaxed cell (GGA-PBE, Alexandria) gives the calculated powder XRD pattern in this record (Cu Kα, 1.54184 Å).
Peak positions follow from Bragg's law for the DFT cell and can differ from measured ones.

Most intense lines, 10 to 90 degrees two-theta, in order of rising 2θ:
d 3.159, rel. 24
d 2.902, rel. 26
d 2.775, rel. 100
d 2.137, rel. 16
d 1.824, rel. 18
d 1.650, rel. 21
d 1.544, rel. 21
d 1.524, rel. 15
d 1.319, rel. 3
d 1.224, rel. 7
d 1.170, rel. 9
d 1.136, rel. 8

Cell and atoms:
Cell lengths 9.647, 5.804, 9.654 Å; angles 90.00, 119.96, 90.00 degrees
Atoms (fractional coordinates):
Pr1 0.067 0.250 0.318
Pr2 0.182 0.250 0.749
Pr3 0.249 0.750 0.566
Pr4 0.751 0.250 0.434
Pr5 0.818 0.750 0.251
Pr6 0.933 0.750 0.682
Nd1 0.107 0.750 0.123
Nd2 0.376 0.750 0.983
Nd3 0.484 0.250 0.608
Nd4 0.516 0.750 0.392
Nd5 0.624 0.250 0.017
Nd6 0.893 0.250 0.877
In1 0.333 0.250 0.166
In2 0.667 0.750 0.834


For Pr4NdIn4, a DFT-relaxed cell (GGA-PBE, Alexandria) gives the calculated powder XRD pattern in this record (Cu Kα, 1.54184 Å).
Peak positions follow from Bragg's law for the DFT cell and can differ from measured ones.

Most intense lines, 10 to 90 degrees two-theta, in order of rising 2θ:
d 4.413, rel. 12
d 3.460, rel. 8
d 3.125, rel. 63
d 2.594, rel. 100
d 2.575, rel. 31
d 2.112, rel. 10
d 1.821, rel. 18
d 1.633, rel. 13
d 1.502, rel. 14
d 1.490, rel. 29
d 1.342, rel. 9
d 1.327, rel. 7

Cell and atoms:
Cell lengths 7.283, 7.283, 11.095 Å; angles 90.00, 90.00, 90.00 degrees
Atoms (fractional coordinates):
Pr1 0.026 0.250 0.176
Pr2 0.250 0.026 0.676
Pr3 0.250 0.474 0.676
Pr4 0.474 0.250 0.176
Pr5 0.526 0.750 0.824
Pr6 0.750 0.526 0.324
Pr7 0.750 0.974 0.324
Pr8 0.974 0.750 0.824
Nd1 0.250 0.750 0.250
Nd2 0.750 0.250 0.750
In1 0.017 0.250 0.476
In2 0.250 0.017 0.976
In3 0.250 0.483 0.976
In4 0.483 0.250 0.476
In5 0.517 0.750 0.524
In6 0.750 0.517 0.024
In7 0.750 0.983 0.024
In8 0.983 0.750 0.524